(1)
Be2CoH6: computed X-ray diffraction stick pattern (λ = 1.5418 Å (Cu Kα)), based on DFT lattice parameters and positions (PBE).
Kinematic intensities with the Lorentz-polarization factor, no thermal factor.

Atomic structure:
a b c (Å): 5.688 5.688 5.688
angles (deg): 90.00 90.00 90.00
Space group Fm-3m (No. 225)
Symmetry-distinct sites (fractional):
Be (0.250, 0.250, 0.250) [8 per cell]
Co (0.000, 0.000, 0.000) [4 per cell]
H (0.000, 0.000, 0.270) [24 per cell]

Most intense lines, 10 to 90 degrees two-theta, sorted by position:
- 2θ = 27.15°, d = 3.284 Å, I 100, (1 1 1)
- 2θ = 31.45°, d = 2.844 Å, I 38, (2 0 0)
- 2θ = 45.08°, d = 2.011 Å, I 50, (2 2 0)
- 2θ = 53.42°, d = 1.715 Å, I 44, (3 1 1)
- 2θ = 56.00°, d = 1.642 Å, I 7, (2 2 2)
- 2θ = 65.65°, d = 1.422 Å, I 9, (4 0 0)
- 2θ = 72.42°, d = 1.305 Å, I 16, (3 3 1)
- 2θ = 74.61°, d = 1.272 Å, I 10, (4 2 0)
- 2θ = 83.20°, d = 1.161 Å, I 15, (4 2 2)
- 2θ = 89.53°, d = 1.095 Å, I 12, (3 3 3)

(2)
Na2BeCoH6: computed X-ray diffraction stick pattern (λ = 1.5418 Å (Cu Kα)), based on DFT lattice parameters and positions (PBE).
Kinematic intensities with the Lorentz-polarization factor, no thermal factor.

Atomic structure:
a b c (Å): 4.9819 4.9819 4.1779
angles (deg): 90.00 90.00 120.00
Space group P-3m1 (No. 164)
Symmetry-distinct sites (fractional):
Na (0.3333, 0.6667, 0.2228) [2 per cell]
Be (0.0000, 0.0000, 0.5000) [1 per cell]
Co (0.0000, 0.0000, 0.0000) [1 per cell]
H (0.1450, 0.2901, 0.7628) [6 per cell]

Most intense lines, 10 to 90 degrees two-theta, sorted by position:
- 2θ = 20.59°, d = 4.314 Å, I 71, (1 0 0)
- 2θ = 21.27°, d = 4.178 Å, I 38, (0 0 1)
- 2θ = 29.77°, d = 3.001 Å, I 100, (0 1 1)
- 2θ = 36.06°, d = 2.491 Å, I 91, (1 1 0)
- 2θ = 42.24°, d = 2.140 Å, I 36, (1 1 1)
- 2θ = 47.43°, d = 1.917 Å, I 30, (2 0 1)
- 2θ = 48.41°, d = 1.880 Å, I 46, (0 1 2)
- 2θ = 60.99°, d = 1.519 Å, I 23, (1 2 1)
- 2θ = 61.82°, d = 1.501 Å, I 23, (2 0 2)
- 2θ = 73.70°, d = 1.285 Å, I 25, (1 2 2)

(3)
PaBeCo2H8: computed X-ray diffraction stick pattern (λ = 1.5418 Å (Cu Kα)), based on DFT lattice parameters and positions (PBE).
Kinematic intensities with the Lorentz-polarization factor, no thermal factor.

Atomic structure:
a b c (Å): 4.5215 4.5215 5.8164
angles (deg): 90.00 90.00 120.00
Space group P-3m1 (No. 164)
Symmetry-distinct sites (fractional):
Pa (0.0000, 0.0000, 0.0000) [1 per cell]
Be (0.0000, 0.0000, 0.5000) [1 per cell]
Co (0.3333, 0.6667, 0.1595) [2 per cell]
H (0.1563, 0.3126, 0.3249) [6 per cell]
H (0.3333, 0.6667, 0.8905) [2 per cell]

Most intense lines, 10 to 90 degrees two-theta, sorted by position:
- 2θ = 15.23°, d = 5.816 Å, I 100, (0 0 1)
- 2θ = 22.71°, d = 3.916 Å, I 43, (1 0 0)
- 2θ = 27.46°, d = 3.248 Å, I 78, (0 1 1)
- 2θ = 38.56°, d = 2.335 Å, I 58, (0 1 2)
- 2θ = 39.88°, d = 2.261 Å, I 45, (1 1 0)
- 2θ = 42.92°, d = 2.107 Å, I 48, (1 1 1)
- 2θ = 49.10°, d = 1.856 Å, I 17, (2 0 1)
- 2θ = 52.68°, d = 1.737 Å, I 25, (0 1 3)
- 2θ = 56.68°, d = 1.624 Å, I 20, (2 0 2)
- 2θ = 71.53°, d = 1.319 Å, I 19, (1 2 2)

(4)
PaBeCoH6: computed X-ray diffraction stick pattern (λ = 1.5418 Å (Cu Kα)), based on DFT lattice parameters and positions (PBE).
Kinematic intensities with the Lorentz-polarization factor, no thermal factor.

Atomic structure:
a b c (Å): 4.1523 4.1523 4.1861
angles (deg): 90.00 90.00 120.00
Space group P-6m2 (No. 187)
Symmetry-distinct sites (fractional):
Pa (0.0000, 0.0000, 0.0000) [1 per cell]
Be (0.6667, 0.3333, 0.5000) [1 per cell]
Co (0.3333, 0.6667, 0.5000) [1 per cell]
H (0.5014, 0.0028, 0.2312) [6 per cell]

Most intense lines, 10 to 90 degrees two-theta, sorted by position:
- 2θ = 21.22°, d = 4.186 Å, I 17, (0 0 1)
- 2θ = 24.76°, d = 3.596 Å, I 54, (1 0 0)
- 2θ = 32.83°, d = 2.728 Å, I 100, (1 0 1)
- 2θ = 43.59°, d = 2.076 Å, I 28, (1 1 0)
- 2θ = 48.97°, d = 1.860 Å, I 12, (1 1 1)
- 2θ = 50.45°, d = 1.809 Å, I 18, (1 0 2)
- 2θ = 55.63°, d = 1.652 Å, I 23, (2 0 1)
- 2θ = 63.07°, d = 1.474 Å, I 19, (1 1 2)
- 2θ = 72.69°, d = 1.301 Å, I 10, (1 0 3)
- 2θ = 73.22°, d = 1.293 Å, I 20, (2 1 1)

(5)
BeCo2HRh: computed X-ray diffraction stick pattern (λ = 1.5418 Å (Cu Kα)), based on DFT lattice parameters and positions (PBE).
Kinematic intensities with the Lorentz-polarization factor, no thermal factor.

Atomic structure:
a b c (Å): 3.467 3.467 3.960
angles (deg): 90.00 90.00 90.00
Space group P4/mmm (No. 123)
Symmetry-distinct sites (fractional):
Be (0.000, 0.000, 0.000) [1 per cell]
Co (0.000, 0.500, 0.500) [2 per cell]
H (0.500, 0.500, 0.500) [1 per cell]
Rh (0.500, 0.500, 0.000) [1 per cell]

Most intense lines, 10 to 90 degrees two-theta, sorted by position:
- 2θ = 25.70°, d = 3.467 Å, I 39, (1 0 0)
- 2θ = 34.38°, d = 2.608 Å, I 34, (1 0 1)
- 2θ = 43.42°, d = 2.084 Å, I 100, (1 1 1)
- 2θ = 45.83°, d = 1.980 Å, I 22, (0 0 2)
- 2θ = 52.82°, d = 1.733 Å, I 28, (2 0 0)
- 2θ = 53.28°, d = 1.719 Å, I 10, (1 0 2)
- 2θ = 64.55°, d = 1.444 Å, I 11, (2 1 1)
- 2θ = 72.47°, d = 1.304 Å, I 20, (2 0 2)
- 2θ = 77.95°, d = 1.226 Å, I 8, (2 2 0)
- 2θ = 83.11°, d = 1.162 Å, I 14, (1 1 3)

(6)
Hf6Be15Co8: computed X-ray diffraction stick pattern (λ = 1.5418 Å (Cu Kα)), based on DFT lattice parameters and positions (PBE).
Kinematic intensities with the Lorentz-polarization factor, no thermal factor.

Atomic structure:
a b c (Å): 10.922 10.922 10.922
angles (deg): 90.00 90.00 90.00
Space group Fm-3m (No. 225)
Symmetry-distinct sites (fractional):
Hf (0.000, 0.000, 0.211) [24 per cell]
Be (0.000, 0.000, 0.500) [4 per cell]
Be (0.000, 0.250, 0.250) [24 per cell]
Be (0.178, 0.178, 0.178) [32 per cell]
Co (0.125, 0.125, 0.375) [32 per cell]

Most intense lines, 10 to 90 degrees two-theta, sorted by position:
- 2θ = 16.23°, d = 5.461 Å, I 42, (2 0 0)
- 2θ = 23.03°, d = 3.862 Å, I 20, (2 2 0)
- 2θ = 28.31°, d = 3.153 Å, I 100, (2 2 2)
- 2θ = 35.84°, d = 2.506 Å, I 61, (3 3 1)
- 2θ = 40.46°, d = 2.229 Å, I 27, (4 2 2)
- 2θ = 43.03°, d = 2.102 Å, I 70, (5 1 1)
- 2θ = 47.07°, d = 1.931 Å, I 76, (4 4 0)
- 2θ = 55.83°, d = 1.647 Å, I 20, (6 2 2)
- 2θ = 60.54°, d = 1.529 Å, I 21, (5 5 1)
- 2θ = 70.58°, d = 1.334 Å, I 27, (7 3 3)

(7)
HfBe10Co: computed X-ray diffraction stick pattern (λ = 1.5418 Å (Cu Kα)), based on DFT lattice parameters and positions (PBE).
Kinematic intensities with the Lorentz-polarization factor, no thermal factor.

Atomic structure:
a b c (Å): 3.480 4.287 7.524
angles (deg): 90.00 90.00 90.00
Space group Pmmm (No. 47)
Symmetry-distinct sites (fractional):
Hf (0.000, 0.000, 0.000) [1 per cell]
Be (0.000, 0.000, 0.348) [2 per cell]
Be (0.000, 0.500, 0.195) [2 per cell]
Be (0.500, 0.000, 0.500) [1 per cell]
Be (0.500, 0.248, 0.259) [4 per cell]
Be (0.500, 0.500, 0.000) [1 per cell]
Co (0.000, 0.500, 0.500) [1 per cell]

Most intense lines, 10 to 90 degrees two-theta, sorted by position:
- 2θ = 11.76°, d = 7.524 Å, I 60, (0 0 1)
- 2θ = 23.65°, d = 3.762 Å, I 50, (0 0 2)
- 2θ = 23.89°, d = 3.725 Å, I 100, (0 1 1)
- 2θ = 25.60°, d = 3.480 Å, I 48, (1 0 0)
- 2θ = 35.13°, d = 2.555 Å, I 47, (1 0 2)
- 2θ = 35.30°, d = 2.543 Å, I 94, (1 1 1)
- 2θ = 41.72°, d = 2.165 Å, I 32, (0 1 3)
- 2θ = 48.90°, d = 1.862 Å, I 22, (0 2 2)
- 2θ = 49.59°, d = 1.838 Å, I 45, (1 1 3)
- 2θ = 49.97°, d = 1.825 Å, I 23, (1 2 0)

(8)
HfBe8Co3: computed X-ray diffraction stick pattern (λ = 1.5418 Å (Cu Kα)), based on DFT lattice parameters and positions (PBE).
Kinematic intensities with the Lorentz-polarization factor, no thermal factor.

Atomic structure:
a b c (Å): 4.2810 4.2810 7.0785
angles (deg): 90.00 90.00 120.00
Space group P3m1 (No. 156)
Symmetry-distinct sites (fractional):
Hf (0.0000, 0.0000, 0.0000) [1 per cell]
Be (0.1648, 0.3297, 0.6725) [3 per cell]
Be (0.3333, 0.6667, 0.4435) [1 per cell]
Be (0.3333, 0.6667, 0.9270) [1 per cell]
Be (0.5034, 0.0068, 0.2136) [3 per cell]
Co (0.0000, 0.0000, 0.3710) [1 per cell]
Co (0.6667, 0.3333, 0.5005) [1 per cell]
Co (0.6667, 0.3333, 0.8744) [1 per cell]

Most intense lines, 10 to 90 degrees two-theta, sorted by position:
- 2θ = 12.50°, d = 7.078 Å, I 45, (0 0 1)
- 2θ = 24.00°, d = 3.707 Å, I 100, (1 0 0)
- 2θ = 25.16°, d = 3.539 Å, I 48, (0 0 2)
- 2θ = 27.15°, d = 3.284 Å, I 98, (0 1 1)
- 2θ = 35.05°, d = 2.560 Å, I 54, (0 1 2)
- 2θ = 42.22°, d = 2.141 Å, I 82, (1 1 0)
- 2θ = 45.57°, d = 1.991 Å, I 96, (0 1 3)
- 2θ = 49.78°, d = 1.832 Å, I 63, (1 1 2)
- 2θ = 63.86°, d = 1.458 Å, I 27, (2 0 3)
- 2θ = 79.56°, d = 1.205 Å, I 35, (1 2 3)

(9)
Hf2Be2VCo5: computed X-ray diffraction stick pattern (λ = 1.5418 Å (Cu Kα)), based on DFT lattice parameters and positions (PBE).
Kinematic intensities with the Lorentz-polarization factor, no thermal factor.

Atomic structure:
a b c (Å): 8.703 8.703 3.153
angles (deg): 90.00 90.00 90.00
Space group P4/mbm (No. 127)
Symmetry-distinct sites (fractional):
Hf (0.176, 0.324, 0.000) [4 per cell]
Be (0.119, 0.619, 0.000) [4 per cell]
V (0.000, 0.000, 0.000) [2 per cell]
Co (0.000, 0.500, 0.500) [2 per cell]
Co (0.067, 0.790, 0.500) [8 per cell]

Most intense lines, 10 to 90 degrees two-theta, sorted by position:
- 2θ = 22.85°, d = 3.892 Å, I 54, (2 1 0)
- 2θ = 35.15°, d = 2.553 Å, I 22, (2 0 1)
- 2θ = 36.68°, d = 2.450 Å, I 100, (2 1 1)
- 2θ = 40.98°, d = 2.202 Å, I 25, (2 2 1)
- 2θ = 42.84°, d = 2.111 Å, I 72, (4 1 0)
- 2θ = 43.66°, d = 2.073 Å, I 74, (3 1 1)
- 2θ = 44.15°, d = 2.051 Å, I 26, (3 3 0)
- 2θ = 47.43°, d = 1.917 Å, I 16, (3 2 1)
- 2θ = 58.55°, d = 1.576 Å, I 17, (0 0 2)
- 2θ = 75.23°, d = 1.263 Å, I 26, (4 1 2)

(10)
PaBe2CoIr2: computed X-ray diffraction stick pattern (λ = 1.5418 Å (Cu Kα)), based on DFT lattice parameters and positions (PBE).
Kinematic intensities with the Lorentz-polarization factor, no thermal factor.

Atomic structure:
a b c (Å): 4.165 4.165 10.158
angles (deg): 90.00 90.00 90.00
Space group I4/mmm (No. 139)
Symmetry-distinct sites (fractional):
Pa (0.000, 0.000, 0.000) [2 per cell]
Be (0.000, 0.000, 0.307) [4 per cell]
Co (0.000, 0.000, 0.500) [2 per cell]
Ir (0.000, 0.500, 0.250) [4 per cell]

Most intense lines, 10 to 90 degrees two-theta, sorted by position:
- 2θ = 23.08°, d = 3.853 Å, I 16, (1 0 1)
- 2θ = 34.13°, d = 2.627 Å, I 8, (1 0 3)
- 2θ = 35.23°, d = 2.548 Å, I 100, (1 1 2)
- 2θ = 35.34°, d = 2.540 Å, I 26, (0 0 4)
- 2θ = 43.46°, d = 2.082 Å, I 30, (2 0 0)
- 2θ = 49.77°, d = 1.832 Å, I 5, (2 1 1)
- 2θ = 57.21°, d = 1.610 Å, I 26, (2 0 4)
- 2θ = 63.14°, d = 1.472 Å, I 10, (2 2 0)
- 2θ = 63.37°, d = 1.468 Å, I 19, (1 1 6)
- 2θ = 74.44°, d = 1.274 Å, I 35, (2 2 4)

(11)
LaBeCoP2: computed X-ray diffraction stick pattern (λ = 1.5418 Å (Cu Kα)), based on DFT lattice parameters and positions (PBE).
Kinematic intensities with the Lorentz-polarization factor, no thermal factor.

Atomic structure:
a b c (Å): 3.751 3.751 11.174
angles (deg): 90.00 90.00 90.00
Space group I-4m2 (No. 119)
Symmetry-distinct sites (fractional):
La (0.000, 0.000, 0.000) [2 per cell]
Be (0.000, 0.500, 0.750) [2 per cell]
Co (0.000, 0.500, 0.250) [2 per cell]
P (0.000, 0.000, 0.357) [4 per cell]

Most intense lines, 10 to 90 degrees two-theta, sorted by position:
- 2θ = 25.04°, d = 3.556 Å, I 68, (1 0 1)
- 2θ = 32.04°, d = 2.793 Å, I 16, (0 0 4)
- 2θ = 33.80°, d = 2.652 Å, I 21, (1 1 0)
- 2θ = 33.92°, d = 2.643 Å, I 100, (1 0 3)
- 2θ = 37.54°, d = 2.396 Å, I 69, (1 1 2)
- 2θ = 47.35°, d = 1.920 Å, I 25, (1 0 5)
- 2θ = 48.55°, d = 1.875 Å, I 31, (2 0 0)
- 2θ = 55.39°, d = 1.659 Å, I 16, (2 1 1)
- 2θ = 60.54°, d = 1.529 Å, I 36, (2 1 3)
- 2θ = 60.77°, d = 1.524 Å, I 26, (1 1 6)

(12)
LuBe4Co: computed X-ray diffraction stick pattern (λ = 1.5418 Å (Cu Kα)), based on DFT lattice parameters and positions (PBE).
Kinematic intensities with the Lorentz-polarization factor, no thermal factor.

Atomic structure:
a b c (Å): 6.400 6.400 6.400
angles (deg): 90.00 90.00 90.00
Space group F-43m (No. 216)
Symmetry-distinct sites (fractional):
Lu (0.000, 0.000, 0.000) [4 per cell]
Be (0.122, 0.122, 0.378) [16 per cell]
Co (0.250, 0.250, 0.750) [4 per cell]

Most intense lines, 10 to 90 degrees two-theta, sorted by position:
- 2θ = 24.08°, d = 3.695 Å, I 100, (1 1 1)
- 2θ = 27.88°, d = 3.200 Å, I 22, (2 0 0)
- 2θ = 39.84°, d = 2.263 Å, I 76, (2 2 0)
- 2θ = 47.09°, d = 1.930 Å, I 65, (3 1 1)
- 2θ = 57.61°, d = 1.600 Å, I 10, (4 0 0)
- 2θ = 63.34°, d = 1.468 Å, I 21, (3 3 1)
- 2θ = 65.19°, d = 1.431 Å, I 9, (4 2 0)
- 2θ = 72.33°, d = 1.306 Å, I 26, (4 2 2)
- 2θ = 77.49°, d = 1.232 Å, I 20, (5 1 1)
- 2θ = 85.90°, d = 1.131 Å, I 10, (4 4 0)